Starting from a DFT-relaxed cell (PBE, the Materials Project), the powder diffraction line list of NaZrNbP3O12 was calculated for Cu Kα, 1.54184 Å.

Atomic structure:
```
data_NaZrNbP3O12
_cell_length_a 8.9287
_cell_length_b 8.9287
_cell_length_c 22.6841
_cell_angle_alpha 90.00
_cell_angle_beta 90.00
_cell_angle_gamma 120.00
_symmetry_space_group_name_H-M 'R 3 c'
_symmetry_Int_Tables_number 161
_symmetry_space_group_name_Hall 'R 3 -2"c'
loop_
_atom_site_label
_atom_site_type_symbol
_atom_site_fract_x
_atom_site_fract_y
_atom_site_fract_z
Na1 Na 0.0000 0.0000 0.0000
Zr1 Zr 0.0000 0.0000 0.1456
Nb1 Nb 0.0000 0.0000 0.3572
P1 P 0.0452 0.3763 0.4187
O1 O 0.0131 0.1968 0.6970
O2 O 0.0265 0.1939 0.4157
O3 O 0.1492 0.4651 0.4754
O4 O 0.1604 0.4696 0.7543
```

Principal peaks in the range 15 to 90 degrees two-theta, in order of rising 2θ:
| 2θ (°) | d_spacing | I/Imax |
| --- | --- | --- |
| 19.4 | 4.573 | 77.2 |
| 19.9 | 4.464 | 100.0 |
| 23.1 | 3.844 | 85.4 |
| 27.9 | 3.194 | 51.5 |
| 31.0 | 2.885 | 76.3 |
| 34.5 | 2.598 | 23.3 |
| 34.8 | 2.577 | 40.5 |
| 44.5 | 2.035 | 25.2 |
| 47.3 | 1.922 | 27.1 |
| 54.4 | 1.687 | 29.6 |